Structure and calculated X-ray diffraction stick pattern of SrLa4Cr5O15 (a cell relaxed with GGA+U; Cu Kα X-rays).

Most intense lines, 15° ≤ 2θ ≤ 90°, low angle first:
| 2theta | I (rel.) | (hkl) |
| --- | --- | --- |
| 22.71 | 13.0 | 1 1 1 |
| 32.34 | 100.0 | 5 1 0 |
| 39.88 | 20.6 | 4 2 -1 |
| 46.34 | 22.7 | 2 2 2 |
| 46.47 | 11.2 | 8 0 -2 |
| 57.66 | 31.5 | 8 2 -2 |
| 57.74 | 6.3 | 6 0 -4 |
| 67.62 | 6.6 | 0 4 0 |
| 67.72 | 13.1 | 6 2 -4 |
| 76.95 | 10.7 | 2 4 2 |
| 77.16 | 5.3 | 11 1 -4 |
| 86.02 | 6.5 | 8 4 -2 |

Structural model:
a = 16.5858 Å, b = 5.5434 Å, c = 6.7797 Å
α = 90.00°, β = 105.68°, γ = 90.00°
Space group C2/m (No. 12)
Unique sites:
1 Sr 0.0000 0.0000 0.0000
2 La 0.0985 0.5000 0.3987
3 La 0.1996 0.0000 0.7997
4 Cr 0.0000 0.0000 0.5000
5 Cr 0.0997 0.5000 0.9009
6 Cr 0.1999 0.0000 0.2991
7 O 0.0000 0.5000 0.0000
8 O 0.0512 0.2559 0.6933
9 O 0.1023 0.0000 0.4084
10 O 0.1538 0.2553 0.1015
11 O 0.1995 0.5000 0.7985
12 O 0.2500 0.2500 0.5000



Structure and calculated X-ray diffraction stick pattern of Fe5OF11 (a cell relaxed with GGA+U; Cu Kα X-rays).

Most intense lines, 15° ≤ 2θ ≤ 90°, low angle first:
| 2theta | I (rel.) | (hkl) |
| --- | --- | --- |
| 17.88 | 79.4 | 0 1 -1 |
| 19.06 | 62.3 | 1 0 0 |
| 20.00 | 49.4 | 0 0 2 |
| 20.23 | 57.9 | 1 -1 1 |
| 22.77 | 55.7 | -1 1 1 |
| 23.71 | 88.0 | 0 1 1 |
| 25.23 | 51.1 | 1 0 -2 |
| 31.20 | 100.0 | 1 1 -1 |
| 38.63 | 59.4 | 2 -2 0 |
| 48.58 | 49.2 | 0 1 -5 |
| 52.73 | 50.1 | -3 1 1 |
| 54.67 | 35.3 | -2 3 1 |

Structural model:
a = 5.3227 Å, b = 5.7356 Å, c = 9.3809 Å
α = 106.26°, β = 91.05°, γ = 117.40°
Space group P1 (No. 1)
Unique sites:
1 Fe 0.0000 0.0000 0.0000
2 Fe 0.0239 0.5169 0.5059
3 Fe 0.3082 0.2742 0.6734
4 Fe 0.3519 0.8430 0.1822
5 Fe 0.5449 0.7905 0.7750
6 O 0.9527 0.9716 0.8060
7 F 0.0003 0.5089 0.2892
8 F 0.1323 0.0364 0.1769
9 F 0.1718 0.5517 0.7009
10 F 0.2285 0.2826 0.4900
11 F 0.2635 0.8107 0.9730
12 F 0.3760 0.3530 0.8768
13 F 0.4033 0.8733 0.3728
14 F 0.5976 0.1383 0.6396
15 F 0.6083 0.6787 0.1109
16 F 0.7164 0.6368 0.5914
17 F 0.7474 0.1638 0.0662



Structure and calculated X-ray diffraction stick pattern of LiVPO4 (a cell relaxed with GGA+U; Cu Kα X-rays).

Most intense lines, 15° ≤ 2θ ≤ 90°, low angle first:
| 2theta | I (rel.) | (hkl) |
| --- | --- | --- |
| 21.11 | 31.5 | 1 0 1 |
| 25.62 | 100.0 | 1 0 4 |
| 28.00 | 72.5 | 0 1 5 |
| 33.59 | 56.3 | 1 0 7 |
| 36.39 | 96.6 | 1 1 0 |
| 38.17 | 47.2 | 1 1 3 |
| 43.11 | 47.2 | 1 1 6 |
| 45.04 | 31.1 | 0 2 4 |
| 50.48 | 45.3 | 1 1 9 |
| 59.66 | 42.2 | 2 -1 12 |
| 65.49 | 42.7 | 3 0 0 |
| 70.33 | 24.7 | 2 -1 15 |

Structural model:
a = 4.9373 Å, b = 4.9373 Å, c = 23.8943 Å
α = 90.00°, β = 90.00°, γ = 120.00°
Space group R-3 (No. 148, hexagonal axes)
Unique sites:
1 Li 0.0000 0.0000 0.2172
2 V 0.0000 0.0000 0.3379
3 P 0.0000 0.0000 0.0772
4 O 0.0000 0.0000 0.1399
5 O 0.0217 0.3786 0.6123



Structure and calculated X-ray diffraction stick pattern of Li9Mn2Co5O16 (a cell relaxed with GGA+U; Cu Kα X-rays).

Most intense lines, 15° ≤ 2θ ≤ 90°, low angle first:
| 2theta | I (rel.) | (hkl) |
| --- | --- | --- |
| 18.46 | 100.0 | 0 1 1 |
| 35.10 | 17.1 | 2 1 0 |
| 36.80 | 23.4 | 2 -1 2 |
| 38.03 | 7.3 | 2 0 3 |
| 42.21 | 30.7 | 2 2 1 |
| 44.63 | 25.4 | 0 0 4 |
| 44.76 | 25.1 | 2 -2 1 |
| 47.80 | 9.2 | 2 1 4 |
| 63.03 | 7.4 | 2 2 5 |
| 63.15 | 15.0 | 2 2 -3 |
| 63.32 | 7.5 | 4 0 2 |
| 65.79 | 8.8 | 2 -2 5 |

Structural model:
a = 5.8848 Å, b = 5.9023 Å, c = 8.6055 Å
α = 88.08°, β = 70.69°, γ = 86.81°
Space group P-1 (No. 2)
Unique sites:
1 Li 0.0000 0.0000 0.0000
2 Li 0.0000 0.5000 0.0000
3 Li 0.1221 0.2455 0.2463
4 Li 0.2489 0.9988 0.5025
5 Li 0.3649 0.7541 0.7586
6 Li 0.5000 0.5000 0.0000
7 Mn 0.1250 0.7542 0.2450
8 Co 0.2480 0.4979 0.4993
9 Co 0.3712 0.2431 0.7509
10 Co 0.5000 0.0000 0.0000
11 O 0.0227 0.7365 0.4881
12 O 0.1127 0.0126 0.7477
13 O 0.1183 0.4715 0.7421
14 O 0.2430 0.7475 0.0139
15 O 0.2800 0.2332 0.9811
16 O 0.3588 0.5074 0.2640
17 O 0.3637 0.9733 0.2450
18 O 0.4790 0.2645 0.5135



Structure and calculated X-ray diffraction stick pattern of Na2FeSiCO7 (a cell relaxed with GGA+U; Cu Kα X-rays).

Most intense lines, 15° ≤ 2θ ≤ 90°, low angle first:
| 2theta | I (rel.) | (hkl) |
| --- | --- | --- |
| 16.67 | 100.0 | 0 1 1 |
| 21.64 | 53.5 | 1 1 0 |
| 23.80 | 32.9 | 1 1 1 |
| 25.48 | 74.7 | 1 0 -2 |
| 25.80 | 25.8 | 1 0 2 |
| 27.40 | 57.2 | 0 2 0 |
| 33.57 | 34.0 | 1 0 -3 |
| 33.71 | 86.5 | 0 2 2 |
| 33.85 | 94.6 | 2 0 0 |
| 36.71 | 26.5 | 1 1 3 |
| 48.40 | 38.8 | 0 2 4 |
| 56.54 | 28.4 | 0 4 0 |

Structural model:
a = 5.2935 Å, b = 6.5112 Å, c = 9.2110 Å
α = 90.00°, β = 90.69°, γ = 90.00°
Space group P2_1/m (No. 11)
Unique sites:
1 Na 0.2356 0.0061 0.2628
2 Fe 0.2087 0.2500 0.8608
3 Si 0.2933 0.7500 0.9310
4 C 0.2748 0.2500 0.5771
5 O 0.0586 0.2500 0.6442
6 O 0.1469 0.7500 0.0862
7 O 0.2204 0.5483 0.8322
8 O 0.2855 0.2500 0.4404
9 O 0.3964 0.2500 0.0384
10 O 0.4722 0.2500 0.6619



Structure and calculated X-ray diffraction stick pattern of Li4Co3O7 (a cell relaxed with GGA+U; Cu Kα X-rays).

Most intense lines, 15° ≤ 2θ ≤ 90°, low angle first:
| 2theta | I (rel.) | (hkl) |
| --- | --- | --- |
| 18.46 | 100.0 | 0 1 2 |
| 35.85 | 28.7 | 1 1 -1 |
| 37.21 | 11.6 | 1 -1 2 |
| 43.23 | 29.1 | 1 0 -3 |
| 43.51 | 27.6 | 0 4 1 |
| 45.05 | 25.1 | 1 0 4 |
| 48.13 | 9.0 | -1 3 2 |
| 62.71 | 7.7 | 1 4 -2 |
| 63.31 | 7.7 | -1 4 4 |
| 63.43 | 7.2 | 0 0 7 |
| 63.85 | 7.2 | 1 4 5 |
| 65.00 | 13.9 | 2 0 1 |

Structural model:
a = 2.8725 Å, b = 8.3210 Å, c = 10.5409 Å
α = 78.19°, β = 84.17°, γ = 89.03°
Space group P-1 (No. 2)
Unique sites:
1 Li 0.0000 0.0000 0.0000
2 Li 0.0000 0.5000 0.0000
3 Li 0.1303 0.0742 0.7202
4 Li 0.2840 0.6441 0.4303
5 Li 0.4318 0.1996 0.1377
6 Co 0.1390 0.5675 0.7175
7 Co 0.2875 0.1427 0.4253
8 Co 0.4256 0.7255 0.1393
9 O 0.0156 0.2549 0.9831
10 O 0.1228 0.8175 0.7117
11 O 0.1240 0.3192 0.7318
12 O 0.2756 0.3953 0.4179
13 O 0.2973 0.8912 0.4401
14 O 0.4296 0.9396 0.1439
15 O 0.4424 0.4810 0.1489



Structure and calculated X-ray diffraction stick pattern of Ti3CrSb2P6O24 (a cell relaxed with GGA+U; Cu Kα X-rays).

Most intense lines, 15° ≤ 2θ ≤ 90°, low angle first:
| 2theta | I (rel.) | (hkl) |
| --- | --- | --- |
| 20.54 | 100.0 | 1 1 0 |
| 23.91 | 71.3 | 1 1 3 |
| 25.13 | 33.5 | 2 0 2 |
| 32.07 | 96.6 | 1 1 6 |
| 32.68 | 22.9 | 1 2 2 |
| 35.98 | 38.2 | 3 0 0 |
| 43.93 | 15.5 | 0 3 6 |
| 46.10 | 31.3 | 3 -2 8 |
| 48.96 | 34.6 | 4 -2 6 |
| 55.51 | 15.3 | 4 -1 8 |
| 56.30 | 24.7 | 4 1 0 |
| 62.23 | 24.8 | 5 -1 6 |

Structural model:
a = 8.6472 Å, b = 8.6472 Å, c = 21.9253 Å
α = 90.00°, β = 90.00°, γ = 120.00°
Space group R3 (No. 146, hexagonal axes)
Unique sites:
1 Ti 0.0000 0.0000 0.0000
2 Ti 0.0000 0.0000 0.2040
3 Ti 0.0000 0.0000 0.4999
4 Cr 0.0000 0.0000 0.7058
5 Sb 0.0000 0.0000 0.3503
6 Sb 0.0000 0.0000 0.8516
7 P 0.9999 0.7088 0.1024
8 P 0.0440 0.3766 0.2698
9 O 0.0062 0.1978 0.5438
10 O 0.0057 0.8087 0.0441
11 O 0.0193 0.1835 0.2688
12 O 0.0214 0.8359 0.7712
13 O 0.1396 0.4637 0.3278
14 O 0.1427 0.6720 0.8272
15 O 0.1680 0.4818 0.6011
16 O 0.1686 0.6876 0.1020